(1)
The following is a calculated XRD peak list of Nd2Ag4Te5. It was derived from a crystal structure in Alexandria, relaxed with GGA-PBE, using Cu Kα X-rays.
Neutral-atom scattering factors, no anomalous dispersion.

Principal peaks in the range 5 to 70 degrees two-theta, in order of falling intensity:
| two_theta | I (rel.) |
| --- | --- |
| 39.72 | 100 |
| 28.47 | 93 |
| 41.65 | 66 |
| 25.87 | 32 |
| 22.68 | 30 |
| 58.91 | 23 |
| 23.47 | 21 |
| 49.59 | 19 |
| 33.90 | 19 |
| 31.59 | 17 |

Atomic structure:
Unit cell a=19.2440 b=19.2440 c=19.2440 alpha=13.54 beta=13.54 gamma=13.54
Element x y z (fractional)
1 Nd 0.1344 0.1344 0.1344
2 Nd 0.8656 0.8656 0.8656
3 Ag 0.3146 0.3146 0.3146
4 Ag 0.4152 0.4152 0.4152
5 Ag 0.5848 0.5848 0.5848
6 Ag 0.6854 0.6854 0.6854
7 Te 0.2312 0.2312 0.2312
8 Te 0.3672 0.3672 0.3672
9 Te 0.5000 0.5000 0.5000
10 Te 0.6328 0.6328 0.6328
11 Te 0.7688 0.7688 0.7688


(2)
The following is a calculated XRD peak list of Nd3Ho3Tm2. It was derived from a crystal structure in Alexandria, relaxed with GGA-PBE, using Cu Kα X-rays.
Neutral-atom scattering factors, no anomalous dispersion.

Principal peaks in the range 5 to 70 degrees two-theta, in order of falling intensity:
| two_theta | I (rel.) |
| --- | --- |
| 30.64 | 100 |
| 35.52 | 51 |
| 60.78 | 43 |
| 51.11 | 36 |
| 63.79 | 12 |

Atomic structure:
Unit cell a=5.0508 b=5.0605 c=20.2076 alpha=90.00 beta=90.00 gamma=90.00
Element x y z (fractional)
1 Nd 0.0000 0.0000 0.0000
2 Nd 0.0000 0.5000 0.1260
3 Nd 0.0000 0.5000 0.8740
4 Nd 0.5000 0.0000 0.3740
5 Nd 0.5000 0.0000 0.6260
6 Nd 0.5000 0.5000 0.5000
7 Ho 0.0000 0.0000 0.5000
8 Ho 0.0000 0.5000 0.3728
9 Ho 0.0000 0.5000 0.6272
10 Ho 0.5000 0.0000 0.1272
11 Ho 0.5000 0.0000 0.8728
12 Ho 0.5000 0.5000 0.0000
13 Tm 0.0000 0.0000 0.2494
14 Tm 0.0000 0.0000 0.7506
15 Tm 0.5000 0.5000 0.2506
16 Tm 0.5000 0.5000 0.7494


(3)
The following is a calculated XRD peak list of Cr2Rh. It was derived from a crystal structure in Alexandria, relaxed with GGA-PBE, using Cu Kα X-rays.
Neutral-atom scattering factors, no anomalous dispersion.

Principal peaks in the range 5 to 70 degrees two-theta, in order of falling intensity:
| two_theta | I (rel.) |
| --- | --- |
| 43.27 | 100 |
| 44.28 | 83 |
| 63.64 | 30 |
| 25.13 | 23 |
| 51.59 | 3 |

Atomic structure:
Unit cell a=4.0915 b=4.0915 c=2.5898 alpha=90.00 beta=90.00 gamma=120.00
Element x y z (fractional)
1 Cr 0.3333 0.6667 0.4914
2 Cr 0.6667 0.3333 0.5086
3 Rh 0.0000 0.0000 0.0000


(4)
The following is a calculated XRD peak list of TbCe3Pu2N6. It was derived from a crystal structure in Alexandria, relaxed with GGA-PBE, using Cu Kα X-rays.
Neutral-atom scattering factors, no anomalous dispersion.

Principal peaks in the range 5 to 70 degrees two-theta, in order of falling intensity:
| two_theta | I (rel.) |
| --- | --- |
| 31.05 | 100 |
| 36.00 | 70 |
| 51.83 | 49 |
| 61.66 | 46 |
| 64.73 | 16 |
| 15.39 | 6 |
| 29.69 | 4 |
| 39.37 | 2 |
| 54.39 | 2 |
| 47.36 | 2 |

Atomic structure:
Unit cell a=6.1117 b=6.1117 c=6.1080 alpha=99.62 beta=99.62 gamma=119.99
Element x y z (fractional)
1 Tb 0.0000 0.0000 0.0000
2 Ce 0.1659 0.8341 0.5000
3 Ce 0.5000 0.5000 0.5000
4 Ce 0.8341 0.1659 0.5000
5 Pu 0.3333 0.6667 0.0000
6 Pu 0.6667 0.3333 0.0000
7 N 0.0804 0.4197 0.2411
8 N 0.2594 0.2594 0.7601
9 N 0.4197 0.0804 0.2411
10 N 0.5803 0.9196 0.7589
11 N 0.7406 0.7406 0.2399
12 N 0.9196 0.5803 0.7589


(5)
The following is a calculated XRD peak list of Pm4PrMg. It was derived from a crystal structure in Alexandria, relaxed with GGA-PBE, using Cu Kα X-rays.
Neutral-atom scattering factors, no anomalous dispersion.

Principal peaks in the range 5 to 70 degrees two-theta, in order of falling intensity:
| two_theta | I (rel.) |
| --- | --- |
| 30.48 | 100 |
| 29.28 | 56 |
| 32.22 | 44 |
| 33.64 | 44 |
| 32.58 | 39 |
| 27.57 | 30 |
| 61.91 | 25 |
| 32.79 | 22 |
| 39.93 | 19 |
| 45.48 | 16 |

Atomic structure:
Unit cell a=6.5030 b=6.9755 c=9.0902 alpha=90.00 beta=104.70 gamma=90.00
Element x y z (fractional)
1 Pm 0.1046 0.0006 0.3009
2 Pm 0.1046 0.4994 0.3009
3 Pm 0.3079 0.2500 0.0026
4 Pm 0.3795 0.2500 0.6504
5 Pm 0.6205 0.7500 0.3496
6 Pm 0.6921 0.7500 0.9974
7 Pm 0.8954 0.5006 0.6991
8 Pm 0.8954 0.9994 0.6991
9 Pr 0.3674 0.7500 0.6457
10 Pr 0.6326 0.2500 0.3543
11 Mg 0.1974 0.7500 0.0024
12 Mg 0.8026 0.2500 0.9976


(6)
The following is a calculated XRD peak list of K2CeMgF6. It was derived from a crystal structure in Alexandria, relaxed with GGA-PBE, using Cu Kα X-rays.
Neutral-atom scattering factors, no anomalous dispersion.

Principal peaks in the range 5 to 70 degrees two-theta, in order of falling intensity:
| two_theta | I (rel.) |
| --- | --- |
| 28.72 | 100 |
| 18.19 | 67 |
| 19.99 | 49 |
| 40.63 | 42 |
| 45.91 | 30 |
| 41.51 | 30 |
| 20.41 | 27 |
| 30.36 | 27 |
| 26.35 | 24 |
| 16.60 | 23 |

Atomic structure:
Unit cell a=5.8884 b=8.7015 c=6.7640 alpha=90.00 beta=90.00 gamma=90.00
Element x y z (fractional)
1 K 0.2500 0.0277 0.1852
2 K 0.2500 0.4723 0.1852
3 K 0.7500 0.5277 0.8148
4 K 0.7500 0.9723 0.8148
5 Ce 0.2500 0.2500 0.6943
6 Ce 0.7500 0.7500 0.3057
7 Mg 0.2500 0.7500 0.7838
8 Mg 0.7500 0.2500 0.2162
9 F 0.0080 0.7500 0.0072
10 F 0.0099 0.2500 0.4105
11 F 0.2500 0.5146 0.7869
12 F 0.2500 0.9854 0.7869
13 F 0.4901 0.2500 0.4105
14 F 0.4920 0.7500 0.0072
15 F 0.5080 0.2500 0.9928
16 F 0.5099 0.7500 0.5895
17 F 0.7500 0.0146 0.2131
18 F 0.7500 0.4854 0.2131
19 F 0.9901 0.7500 0.5895
20 F 0.9920 0.2500 0.9928


(7)
The following is a calculated XRD peak list of Nd4TlTe2. It was derived from a crystal structure in Alexandria, relaxed with GGA-PBE, using Cu Kα X-rays.
Neutral-atom scattering factors, no anomalous dispersion.

Principal peaks in the range 5 to 70 degrees two-theta, in order of falling intensity:
| two_theta | I (rel.) |
| --- | --- |
| 28.90 | 100 |
| 33.76 | 73 |
| 36.11 | 48 |
| 25.32 | 47 |
| 28.43 | 44 |
| 33.91 | 39 |
| 17.83 | 38 |
| 42.79 | 35 |
| 38.79 | 27 |
| 54.04 | 25 |

Atomic structure:
Unit cell a=8.5592 b=8.5592 c=8.5592 alpha=108.94 beta=108.94 gamma=110.55
Element x y z (fractional)
1 Nd 0.1855 0.2460 0.5604
2 Nd 0.1855 0.6251 0.9396
3 Nd 0.2460 0.1855 0.0604
4 Nd 0.3749 0.8145 0.5604
5 Nd 0.6251 0.1855 0.4396
6 Nd 0.7540 0.8145 0.9396
7 Nd 0.8145 0.3749 0.0604
8 Nd 0.8145 0.7540 0.4396
9 Tl 0.1250 0.8750 0.2500
10 Tl 0.8750 0.1250 0.7500
11 Te 0.0000 0.5000 0.5000
12 Te 0.5000 0.0000 0.0000
13 Te 0.5000 0.5000 0.0000
14 Te 0.5000 0.5000 0.5000


(8)
The following is a calculated XRD peak list of NdNpRe4. It was derived from a crystal structure in Alexandria, relaxed with GGA-PBE, using Cu Kα X-rays.
Neutral-atom scattering factors, no anomalous dispersion.

Principal peaks in the range 5 to 70 degrees two-theta, in order of falling intensity:
| two_theta | I (rel.) |
| --- | --- |
| 38.71 | 100 |
| 40.50 | 40 |
| 62.55 | 33 |
| 68.83 | 29 |
| 32.83 | 27 |
| 58.61 | 11 |
| 19.93 | 6 |
| 47.11 | 5 |
| 23.05 | 2 |
| 51.64 | 2 |

Atomic structure:
Unit cell a=5.4558 b=5.4558 c=5.4558 alpha=60.00 beta=60.00 gamma=60.00
Element x y z (fractional)
1 Nd 0.0000 0.0000 0.0000
2 Np 0.2500 0.2500 0.2500
3 Re 0.1250 0.6250 0.6250
4 Re 0.6250 0.1250 0.6250
5 Re 0.6250 0.6250 0.1250
6 Re 0.6250 0.6250 0.6250


(9)
The following is a calculated XRD peak list of Na2SrAlO4. It was derived from a crystal structure in Alexandria, relaxed with GGA-PBE, using Cu Kα X-rays.
Neutral-atom scattering factors, no anomalous dispersion.

Principal peaks in the range 5 to 70 degrees two-theta, in order of falling intensity:
| two_theta | I (rel.) |
| --- | --- |
| 33.41 | 100 |
| 57.58 | 35 |
| 37.75 | 28 |
| 45.47 | 27 |
| 22.28 | 26 |
| 31.72 | 23 |
| 60.76 | 23 |
| 19.94 | 21 |
| 52.40 | 11 |
| 40.63 | 11 |

Atomic structure:
Unit cell a=5.6421 b=5.6421 c=7.2462 alpha=90.00 beta=90.00 gamma=90.00
Element x y z (fractional)
1 Na 0.0000 0.5000 0.2500
2 Na 0.0000 0.5000 0.7500
3 Na 0.5000 0.0000 0.2500
4 Na 0.5000 0.0000 0.7500
5 Sr 0.0000 0.0000 0.0000
6 Sr 0.5000 0.5000 0.5000
7 Al 0.0000 0.0000 0.5000
8 Al 0.5000 0.5000 0.0000
9 O 0.1952 0.1952 0.3792
10 O 0.1952 0.8048 0.6208
11 O 0.3048 0.3048 0.8792
12 O 0.3048 0.6952 0.1208
13 O 0.6952 0.3048 0.1208
14 O 0.6952 0.6952 0.8792
15 O 0.8048 0.1952 0.6208
16 O 0.8048 0.8048 0.3792


(10)
The following is a calculated XRD peak list of Pa3Ni5. It was derived from a crystal structure in Alexandria, relaxed with GGA-PBE, using Cu Kα X-rays.
Neutral-atom scattering factors, no anomalous dispersion.

Principal peaks in the range 5 to 70 degrees two-theta, in order of falling intensity:
| two_theta | I (rel.) |
| --- | --- |
| 38.32 | 100 |
| 31.11 | 75 |
| 35.87 | 63 |
| 27.88 | 59 |
| 30.89 | 51 |
| 45.26 | 36 |
| 34.89 | 30 |
| 38.79 | 28 |
| 46.24 | 25 |
| 55.66 | 24 |

Atomic structure:
Unit cell a=11.3906 b=8.0144 c=5.9864 alpha=90.00 beta=90.00 gamma=90.00
Element x y z (fractional)
1 Pa 0.0852 0.2500 0.1193
2 Pa 0.1503 0.0011 0.6142
3 Pa 0.1503 0.4989 0.6142
4 Pa 0.3497 0.5011 0.1142
5 Pa 0.3497 0.9989 0.1142
6 Pa 0.4148 0.7500 0.6193
7 Pa 0.5852 0.2500 0.3807
8 Pa 0.6503 0.0011 0.8858
9 Pa 0.6503 0.4989 0.8858
10 Pa 0.8497 0.5011 0.3858
11 Pa 0.8497 0.9989 0.3858
12 Pa 0.9148 0.7500 0.8807
13 Ni 0.0099 0.7500 0.4261
14 Ni 0.0811 0.5657 0.1183
15 Ni 0.0811 0.9343 0.1183
16 Ni 0.2115 0.7500 0.8950
17 Ni 0.2206 0.7500 0.3119
18 Ni 0.2794 0.2500 0.8119
19 Ni 0.2885 0.2500 0.3950
20 Ni 0.4189 0.0657 0.6183
21 Ni 0.4189 0.4343 0.6183
22 Ni 0.4901 0.2500 0.9261
23 Ni 0.5099 0.7500 0.0739
24 Ni 0.5811 0.5657 0.3817
25 Ni 0.5811 0.9343 0.3817
26 Ni 0.7115 0.7500 0.6050
27 Ni 0.7206 0.7500 0.1881
28 Ni 0.7794 0.2500 0.6881
29 Ni 0.7885 0.2500 0.1050
30 Ni 0.9189 0.0657 0.8817
31 Ni 0.9189 0.4343 0.8817
32 Ni 0.9901 0.2500 0.5739


(11)
The following is a calculated XRD peak list of YEr2Ir2. It was derived from a crystal structure in Alexandria, relaxed with GGA-PBE, using Cu Kα X-rays.
Neutral-atom scattering factors, no anomalous dispersion.

Principal peaks in the range 5 to 70 degrees two-theta, in order of falling intensity:
| two_theta | I (rel.) |
| --- | --- |
| 35.70 | 100 |
| 33.20 | 93 |
| 38.67 | 89 |
| 41.35 | 76 |
| 22.11 | 62 |
| 41.21 | 62 |
| 41.01 | 59 |
| 17.23 | 57 |
| 28.25 | 47 |
| 35.45 | 47 |

Atomic structure:
Unit cell a=5.4688 b=4.3666 c=10.3740 alpha=90.00 beta=97.04 gamma=90.00
Element x y z (fractional)
1 Y 0.0996 0.2500 0.2898
2 Y 0.9004 0.7500 0.7102
3 Er 0.2490 0.2500 0.9694
4 Er 0.3918 0.2500 0.6171
5 Er 0.6082 0.7500 0.3829
6 Er 0.7510 0.7500 0.0306
7 Ir 0.1559 0.7500 0.4755
8 Ir 0.2697 0.7500 0.1405
9 Ir 0.7303 0.2500 0.8595
10 Ir 0.8441 0.2500 0.5245


What is the formula in the first record? Nd2Ag4Te5